The following is a simulated X-ray diffraction stick pattern of ThB6As3. It was derived from a cell relaxed with PBE, using CuKα.

Cell and atoms:
```
data_ThB6As3
_space_group_name_H-M_alt 'I 4/m m m'
_space_group_IT_number 139
_space_group_name_Hall '-I 4 2'
_cell_length_a 6.758
_cell_length_b 6.758
_cell_length_c 8.902
_cell_angle_alpha 90.00
_cell_angle_beta 90.00
_cell_angle_gamma 90.00
loop_
_atom_site_label
_atom_site_type_symbol
_atom_site_fract_x
_atom_site_fract_y
_atom_site_fract_z
Th1 Th 0.000 0.000 0.000
B1 B 0.000 0.000 0.290
B2 B 0.000 0.384 0.000
As1 As 0.000 0.000 0.500
As2 As 0.000 0.500 0.250
```

Main lines, in order of falling intensity (2θ = 5–70°):
h k l  Position (°2θ)  I_rel
1 1 2  27.38  100
2 0 0  26.37  79
3 1 2  47.17  52
1 0 1  16.47  39
2 2 0  37.64  29
2 0 4  49.01  27
2 2 4  56.51  17
2 1 1  31.25  14
1 1 0  18.57  13
4 2 0  61.35  13

The following is a simulated X-ray diffraction stick pattern of Dy3TmPb2N2. It was derived from a cell relaxed with PBE, using CuKα.

Cell and atoms:
```
data_Dy3TmPb2N2
_space_group_name_H-M_alt 'P 3 m 1'
_space_group_IT_number 156
_space_group_name_Hall 'P 3 -2"'
_cell_length_a 3.5328
_cell_length_b 3.5328
_cell_length_c 15.5470
_cell_angle_alpha 90.00
_cell_angle_beta 90.00
_cell_angle_gamma 120.00
loop_
_atom_site_label
_atom_site_type_symbol
_atom_site_fract_x
_atom_site_fract_y
_atom_site_fract_z
Dy1 Dy 0.0000 0.0000 0.0000
Dy2 Dy 0.0000 0.0000 0.3338
Dy3 Dy 0.3333 0.6667 0.5015
Tm1 Tm 0.3333 0.6667 0.8347
Pb1 Pb 0.0000 0.0000 0.6694
Pb2 Pb 0.3333 0.6667 0.1665
N1 N 0.6667 0.3333 0.4176
N2 N 0.6667 0.3333 0.9137
```

Main lines, in order of falling intensity (2θ = 5–70°):
h k l  Position (°2θ)  I_rel
0 1 3  34.03  100
1 0 0  29.19  22
1 1 0  51.75  22
1 1 6  63.77  21
0 0 6  34.62  20
0 1 9  61.66  18
2 0 3  63.40  17
1 0 6  45.89  16
2 0 0  60.52  3
0 1 1  29.76  1

Please write out number 1 again, unchanged.
The following is a simulated X-ray diffraction stick pattern of ThB6As3. It was derived from a cell relaxed with PBE, using CuKα.

Cell and atoms:
```
data_ThB6As3
_space_group_name_H-M_alt 'I 4/m m m'
_space_group_IT_number 139
_space_group_name_Hall '-I 4 2'
_cell_length_a 6.758
_cell_length_b 6.758
_cell_length_c 8.902
_cell_angle_alpha 90.00
_cell_angle_beta 90.00
_cell_angle_gamma 90.00
loop_
_atom_site_label
_atom_site_type_symbol
_atom_site_fract_x
_atom_site_fract_y
_atom_site_fract_z
Th1 Th 0.000 0.000 0.000
B1 B 0.000 0.000 0.290
B2 B 0.000 0.384 0.000
As1 As 0.000 0.000 0.500
As2 As 0.000 0.500 0.250
```

Main lines, in order of falling intensity (2θ = 5–70°):
h k l  Position (°2θ)  I_rel
1 1 2  27.38  100
2 0 0  26.37  79
3 1 2  47.17  52
1 0 1  16.47  39
2 2 0  37.64  29
2 0 4  49.01  27
2 2 4  56.51  17
2 1 1  31.25  14
1 1 0  18.57  13
4 2 0  61.35  13